1.
For Ho6Sc2In, a crystal structure in Alexandria, relaxed with PBE gives the computed powder XRD pattern in this record (copper Kα).
Peak positions follow from Bragg's law for the DFT cell and can differ from measured ones.

Peak list (10 most intense, 15 to 90 degrees two-theta, in order of rising 2θ)
2θ/deg	intensity
23.91	19
31.08	56
31.53	54
32.67	60
33.22	100
38.50	42
39.83	22
51.66	22
51.82	17
58.47	19

Crystal structure
Cell: 9.515 9.515 5.976 Å, 94.64 94.64 73.21°
Atoms (fractional coordinates):
Ho  0.086  0.812  0.985
Ho  0.138  0.431  0.157
Ho  0.188  0.914  0.515
Ho  0.264  0.518  0.676
Ho  0.431  0.138  0.657
Ho  0.482  0.736  0.824
Ho  0.518  0.264  0.176
Ho  0.569  0.862  0.343
Ho  0.736  0.482  0.324
Ho  0.812  0.086  0.485
Ho  0.862  0.569  0.843
Ho  0.914  0.188  0.015
Sc  0.074  0.273  0.587
Sc  0.273  0.074  0.087
Sc  0.727  0.926  0.913
Sc  0.926  0.727  0.413
In  0.376  0.624  0.250
In  0.624  0.376  0.750


2.
For CsRuBr6, a crystal structure in Alexandria, relaxed with PBE gives the computed powder XRD pattern in this record (copper Kα).
Peak positions follow from Bragg's law for the DFT cell and can differ from measured ones.

Peak list (10 most intense, 15 to 90 degrees two-theta, in order of rising 2θ)
2θ/deg	intensity
15.47	26
16.89	46
17.43	25
28.85	48
29.53	100
30.11	81
31.08	78
39.06	46
40.62	28
46.05	36

Crystal structure
Cell: 7.277 7.277 13.142 Å, 101.74 101.74 56.90°
Atoms (fractional coordinates):
Cs  0.115  0.885  0.750
Cs  0.885  0.115  0.250
Ru  0.000  0.500  0.000
Ru  0.500  0.000  0.500
Br  0.113  0.208  0.542
Br  0.197  0.373  0.841
Br  0.208  0.113  0.042
Br  0.297  0.555  0.105
Br  0.373  0.197  0.341
Br  0.445  0.703  0.395
Br  0.555  0.297  0.605
Br  0.627  0.803  0.659
Br  0.703  0.445  0.895
Br  0.792  0.887  0.958
Br  0.803  0.627  0.159
Br  0.887  0.792  0.458


3.
For Cd4Hg11, a crystal structure in Alexandria, relaxed with PBE gives the computed powder XRD pattern in this record (copper Kα).
Peak positions follow from Bragg's law for the DFT cell and can differ from measured ones.

Peak list (10 most intense, 15 to 90 degrees two-theta, in order of rising 2θ)
2θ/deg	intensity
26.73	31
31.95	100
32.97	66
33.45	50
33.95	60
34.08	59
36.77	69
46.58	47
55.08	21
71.47	36

Crystal structure
Cell: 11.203 6.100 11.948 Å, 90.00 90.24 90.00°
Atoms (fractional coordinates):
Cd  0.006  0.000  0.372
Cd  0.249  0.500  0.505
Cd  0.251  0.000  0.005
Cd  0.492  0.500  0.872
Cd  0.508  0.500  0.128
Cd  0.749  0.000  0.995
Cd  0.751  0.500  0.495
Cd  0.994  0.000  0.628
Hg  0.000  0.500  0.000
Hg  0.000  0.500  0.359
Hg  0.000  0.500  0.641
Hg  0.001  0.000  0.873
Hg  0.237  0.000  0.510
Hg  0.248  0.251  0.756
Hg  0.248  0.749  0.756
Hg  0.252  0.249  0.256
Hg  0.252  0.751  0.256
Hg  0.263  0.500  0.011
Hg  0.498  0.500  0.373
Hg  0.500  0.000  0.141
Hg  0.500  0.000  0.500
Hg  0.500  0.000  0.859
Hg  0.502  0.500  0.627
Hg  0.737  0.500  0.989
Hg  0.748  0.249  0.744
Hg  0.748  0.751  0.744
Hg  0.752  0.251  0.244
Hg  0.752  0.749  0.244
Hg  0.763  0.000  0.490
Hg  0.999  0.000  0.127


4.
For Tm3Zn2Ni, a crystal structure in Alexandria, relaxed with PBE gives the computed powder XRD pattern in this record (copper Kα).
Peak positions follow from Bragg's law for the DFT cell and can differ from measured ones.

Peak list (10 most intense, 15 to 90 degrees two-theta, in order of rising 2θ)
2θ/deg	intensity
25.73	7
25.84	14
36.81	100
45.50	6
53.12	12
59.96	6
66.20	11
66.36	23
78.26	7
89.96	11

Crystal structure
Cell: 3.448 3.448 10.387 Å, 90.00 90.00 90.00°
Atoms (fractional coordinates):
Tm  0.000  0.000  0.000
Tm  0.000  0.000  0.346
Tm  0.000  0.000  0.654
Zn  0.500  0.500  0.170
Zn  0.500  0.500  0.830
Ni  0.500  0.500  0.500